Computed XRD peak list of SrTlW2O8 for copper Kα, from a crystal structure in Alexandria, relaxed with GGA+U.

Largest 10 diffraction maxima, in order of falling intensity, 2θ = 10–80°:
d 3.879, I 100; d 2.957, I 87; d 2.011, I 66; d 2.743, I 28; d 1.622, I 18; d 1.396, I 18; d 1.735, I 18; d 1.940, I 18; d 1.599, I 15; d 1.234, I 14

Cell and atoms:
a b c (Å): 6.5132 6.5132 6.5132
angles (deg): 106.88 106.88 114.78
Fractional coordinates of all 12 atoms:
Sr  0.0000  0.0000  0.0000
Tl  0.7500  0.2500  0.5000
W  0.2500  0.7500  0.5000
W  0.5000  0.5000  0.0000
O  0.0940  0.4071  0.3131
O  0.0940  0.7809  0.6869
O  0.1551  0.3383  0.8168
O  0.2191  0.9060  0.3131
O  0.5215  0.3383  0.1832
O  0.5929  0.9060  0.6869
O  0.6617  0.4785  0.8168
O  0.6617  0.8449  0.1832